Simulated powder XRD pattern
Compound: Mg6CdBiO8
Radiation: a wavelength of 1.5418 Å
Structure: a structure optimized by DFT (GGA-PBE)

Structural model:
a = 4.5791 Å, b = 4.5791 Å, c = 9.1796 Å
α = 90.00°, β = 90.00°, γ = 90.00°
Positions (direct):
Mg 0.0000 0.0000 0.0000
Mg 0.0000 0.0000 0.5000
Mg 0.0000 0.5000 0.2341
Mg 0.0000 0.5000 0.7659
Mg 0.5000 0.0000 0.2341
Mg 0.5000 0.0000 0.7659
Cd 0.5000 0.5000 0.0000
Bi 0.5000 0.5000 0.5000
O 0.0000 0.0000 0.2494
O 0.0000 0.0000 0.7506
O 0.0000 0.5000 0.0000
O 0.0000 0.5000 0.5000
O 0.5000 0.0000 0.0000
O 0.5000 0.0000 0.5000
O 0.5000 0.5000 0.2473
O 0.5000 0.5000 0.7527

Peak list (10 most intense, 2θ from 10° to 80°, by angle)
2theta, d (Å), I/Imax
19.37, 4.583, 100
27.53, 3.240, 87
33.88, 2.646, 54
39.32, 2.291, 85
44.19, 2.049, 50
48.67, 1.871, 38
56.82, 1.620, 53
60.59, 1.528, 15
67.87, 1.381, 17
71.29, 1.323, 17


Simulated powder XRD pattern
Compound: MgCdBi2O8
Radiation: a wavelength of 1.5418 Å
Structure: a structure optimized by DFT (GGA-PBE)

Structural model:
a = 5.6816 Å, b = 5.6816 Å, c = 5.8144 Å
α = 90.00°, β = 90.00°, γ = 120.00°
Positions (direct):
Mg 0.0000 0.0000 0.0000
Cd 0.0000 0.0000 0.5000
Bi 0.3333 0.6667 0.9261
Bi 0.6667 0.3333 0.0739
O 0.0457 0.3381 0.1735
O 0.2924 0.9543 0.1735
O 0.3333 0.6667 0.5586
O 0.3381 0.2924 0.8265
O 0.6619 0.7076 0.1735
O 0.6667 0.3333 0.4414
O 0.7076 0.0457 0.8265
O 0.9543 0.6619 0.8265

Peak list (10 most intense, 2θ from 10° to 80°, by angle)
2theta, d (Å), I/Imax
15.24, 5.814, 44
23.69, 3.756, 100
31.49, 2.841, 80
35.16, 2.552, 24
35.88, 2.503, 26
39.78, 2.266, 32
44.60, 2.032, 41
50.62, 1.803, 24
51.60, 1.771, 27
56.07, 1.640, 23


Simulated powder XRD pattern
Compound: Mn2CdBi
Radiation: a wavelength of 1.5418 Å
Structure: a structure optimized by DFT (GGA-PBE)

Structural model:
a = 10.0715 Å, b = 10.0715 Å, c = 10.0715 Å
α = 154.66°, β = 154.66°, γ = 36.13°
Positions (direct):
Mn 0.1136 0.6250 0.9886
Mn 0.3750 0.3636 0.4886
Mn 0.6364 0.1250 0.0114
Mn 0.8750 0.8864 0.5114
Cd 0.0000 0.0000 0.0000
Cd 0.7500 0.2500 0.5000
Bi 0.2500 0.7500 0.5000
Bi 0.5000 0.5000 0.0000

Peak list (10 most intense, 2θ from 10° to 80°, by angle)
2theta, d (Å), I/Imax
18.53, 4.787, 29
30.09, 2.970, 100
37.58, 2.394, 22
40.41, 2.232, 45
45.21, 2.006, 53
56.36, 1.633, 17
67.80, 1.382, 19
72.23, 1.308, 13
73.17, 1.294, 12
74.09, 1.280, 15


Simulated powder XRD pattern
Compound: PuCdBi2N
Radiation: a wavelength of 1.5418 Å
Structure: a structure optimized by DFT (GGA-PBE)

Structural model:
a = 3.7842 Å, b = 3.7842 Å, c = 18.6005 Å
α = 90.00°, β = 90.00°, γ = 90.00°
Positions (direct):
Pu 0.2500 0.2500 0.0611
Pu 0.7500 0.7500 0.9389
Cd 0.2500 0.2500 0.6616
Cd 0.7500 0.7500 0.3384
Bi 0.2500 0.2500 0.4336
Bi 0.2500 0.2500 0.8180
Bi 0.7500 0.7500 0.1820
Bi 0.7500 0.7500 0.5664
N 0.2500 0.7500 0.0000
N 0.7500 0.2500 0.0000

Peak list (10 most intense, 2θ from 10° to 80°, by angle)
2theta, d (Å), I/Imax
27.62, 3.230, 91
33.49, 2.676, 75
33.79, 2.653, 100
38.73, 2.325, 19
48.09, 1.892, 29
52.11, 1.755, 37
56.35, 1.633, 26
60.06, 1.540, 39
63.38, 1.468, 19
70.35, 1.338, 21


Simulated powder XRD pattern
Compound: Na3Cd8Bi
Radiation: a wavelength of 1.5418 Å
Structure: a structure optimized by DFT (GGA-PBE)

Structural model:
a = 10.3658 Å, b = 10.3658 Å, c = 10.3658 Å
α = 33.70°, β = 33.70°, γ = 33.70°
Positions (direct):
Na 0.0000 0.0000 0.0000
Na 0.1261 0.1261 0.1261
Na 0.5024 0.5024 0.5024
Cd 0.0626 0.0626 0.5619
Cd 0.0626 0.5619 0.0626
Cd 0.0668 0.5636 0.5636
Cd 0.3138 0.3138 0.3138
Cd 0.5619 0.0626 0.0626
Cd 0.5636 0.0668 0.5636
Cd 0.5636 0.5636 0.0668
Cd 0.8133 0.8133 0.8133
Bi 0.6305 0.6305 0.6305

Peak list (10 most intense, 2θ from 10° to 80°, by angle)
2theta, d (Å), I/Imax
18.10, 4.900, 43
29.78, 3.000, 17
35.05, 2.560, 100
35.15, 2.553, 29
36.65, 2.452, 53
36.81, 2.442, 21
56.30, 1.634, 31
61.75, 1.502, 19
61.96, 1.498, 18
74.07, 1.280, 22


Simulated powder XRD pattern
Compound: Na16Cd12Bi
Radiation: a wavelength of 1.5418 Å
Structure: a structure optimized by DFT (GGA-PBE)

Structural model:
a = 9.9352 Å, b = 9.9352 Å, c = 10.3168 Å
α = 109.50°, β = 109.50°, γ = 107.43°
Positions (direct):
Na 0.0000 0.0000 0.0000
Na 0.0019 0.5929 0.3235
Na 0.0061 0.0061 0.3504
Na 0.2816 0.6682 0.6893
Na 0.3076 0.9886 0.5912
Na 0.3303 0.5736 0.9889
Na 0.3602 0.9949 0.9989
Na 0.4132 0.7115 0.4114
Na 0.5736 0.3303 0.9889
Na 0.5929 0.0019 0.3235
Na 0.6420 0.6420 0.6827
Na 0.6682 0.2816 0.6893
Na 0.6971 0.6971 0.2980
Na 0.7115 0.4132 0.4114
Na 0.9886 0.3076 0.5912
Na 0.9949 0.3602 0.9989
Cd 0.1669 0.3574 0.3474
Cd 0.1722 0.1722 0.8203
Cd 0.1941 0.8115 0.1811
Cd 0.3521 0.3521 0.1683
Cd 0.3574 0.1669 0.3474
Cd 0.6296 0.9969 0.8253
Cd 0.6486 0.8312 0.0249
Cd 0.8075 0.9974 0.6472
Cd 0.8115 0.1941 0.1811
Cd 0.8312 0.6486 0.0249
Cd 0.9969 0.6296 0.8253
Cd 0.9974 0.8075 0.6472
Bi 0.3514 0.3514 0.6680

Peak list (10 most intense, 2θ from 10° to 80°, by angle)
2theta, d (Å), I/Imax
10.68, 8.282, 41
11.05, 8.009, 32
18.21, 4.872, 40
18.27, 4.856, 41
18.98, 4.676, 100
32.06, 2.792, 45
32.45, 2.759, 55
33.00, 2.715, 86
35.21, 2.549, 53
36.62, 2.454, 81


Simulated powder XRD pattern
Compound: Na2Cd2Bi
Radiation: a wavelength of 1.5418 Å
Structure: a structure optimized by DFT (GGA-PBE)

Structural model:
a = 8.0090 Å, b = 8.0090 Å, c = 8.0090 Å
α = 148.24°, β = 148.24°, γ = 45.54°
Positions (direct):
Na 0.2500 0.7500 0.5000
Na 0.7500 0.2500 0.5000
Cd 0.0968 0.0968 0.0000
Cd 0.9032 0.9032 0.0000
Bi 0.5000 0.5000 0.0000

Peak list (10 most intense, 2θ from 10° to 80°, by angle)
2theta, d (Å), I/Imax
11.98, 7.385, 100
27.24, 3.274, 78
28.80, 3.099, 73
31.30, 2.858, 89
36.69, 2.450, 98
41.19, 2.192, 44
43.05, 2.101, 19
47.84, 1.901, 23
50.09, 1.821, 30
56.33, 1.633, 56


Simulated powder XRD pattern
Compound: Na2Cd3Bi
Radiation: a wavelength of 1.5418 Å
Structure: a structure optimized by DFT (GGA-PBE)

Structural model:
a = 10.3193 Å, b = 9.5241 Å, c = 6.2616 Å
α = 78.67°, β = 64.82°, γ = 36.51°
Positions (direct):
Na 0.2500 0.2500 0.2500
Na 0.2503 0.7497 0.7497
Na 0.7497 0.2503 0.2503
Na 0.7500 0.7500 0.7500
Cd 0.1585 0.6776 0.3224
Cd 0.1638 0.1638 0.8362
Cd 0.3224 0.8415 0.1585
Cd 0.6776 0.1585 0.8415
Cd 0.8362 0.8362 0.1638
Cd 0.8415 0.3224 0.6776
Bi 0.3369 0.3369 0.6631
Bi 0.6631 0.6631 0.3369

Peak list (10 most intense, 2θ from 10° to 80°, by angle)
2theta, d (Å), I/Imax
19.66, 4.516, 55
19.98, 4.444, 33
26.03, 3.423, 75
32.83, 2.728, 66
33.03, 2.712, 38
34.20, 2.622, 52
34.78, 2.579, 100
43.48, 2.081, 37
43.96, 2.060, 72
65.45, 1.426, 31


Simulated powder XRD pattern
Compound: Na2CdBi
Radiation: a wavelength of 1.5418 Å
Structure: a structure optimized by DFT (GGA-PBE)

Structural model:
a = 8.1734 Å, b = 8.1734 Å, c = 7.0839 Å
α = 90.00°, β = 90.00°, γ = 71.33°
Positions (direct):
Na 0.9998 0.5002 0.2500
Na 0.0002 0.4998 0.7500
Na 0.1212 0.1212 0.0000
Na 0.3788 0.3788 0.5000
Na 0.4998 0.0002 0.2500
Na 0.5002 0.9998 0.7500
Na 0.6212 0.6212 0.5000
Na 0.8788 0.8788 0.0000
Cd 0.1277 0.1277 0.5000
Cd 0.3723 0.3723 0.0000
Cd 0.6277 0.6277 0.0000
Cd 0.8723 0.8723 0.5000
Bi 0.2502 0.7498 0.2495
Bi 0.2498 0.7502 0.7495
Bi 0.7502 0.2498 0.2505
Bi 0.7498 0.2502 0.7505

Peak list (10 most intense, 2θ from 10° to 80°, by angle)
2theta, d (Å), I/Imax
13.33, 6.640, 84
22.97, 3.872, 53
28.56, 3.125, 31
31.47, 2.843, 100
32.88, 2.724, 89
34.31, 2.613, 37
37.11, 2.423, 69
37.76, 2.383, 31
53.98, 1.699, 45
65.07, 1.433, 36


Simulated powder XRD pattern
Compound: Na2Cd16Bi
Radiation: a wavelength of 1.5418 Å
Structure: a structure optimized by DFT (GGA-PBE)

Structural model:
a = 7.8110 Å, b = 7.8110 Å, c = 7.8110 Å
α = 84.36°, β = 84.36°, γ = 84.36°
Positions (direct):
Na 0.0000 0.0000 0.0000
Na 0.3089 0.3089 0.3089
Cd 0.0082 0.0082 0.4764
Cd 0.0082 0.4764 0.0082
Cd 0.1639 0.6394 0.6394
Cd 0.2988 0.2988 0.8149
Cd 0.2988 0.8149 0.2988
Cd 0.3374 0.6540 0.9592
Cd 0.3374 0.9592 0.6540
Cd 0.4764 0.0082 0.0082
Cd 0.5463 0.5463 0.5463
Cd 0.6394 0.1638 0.6394
Cd 0.6394 0.6394 0.1639
Cd 0.6540 0.3374 0.9592
Cd 0.6540 0.9592 0.3374
Cd 0.8149 0.2988 0.2988
Cd 0.9592 0.3374 0.6540
Cd 0.9592 0.6540 0.3374
Bi 0.7587 0.7587 0.7587

Peak list (10 most intense, 2θ from 10° to 80°, by angle)
2theta, d (Å), I/Imax
11.43, 7.742, 25
16.90, 5.245, 20
29.50, 3.028, 24
34.19, 2.622, 41
34.76, 2.581, 58
36.21, 2.481, 21
36.43, 2.466, 23
38.89, 2.316, 100
40.41, 2.232, 30
61.22, 1.514, 22


Simulated powder XRD pattern
Compound: Na4Cd2Bi
Radiation: a wavelength of 1.5418 Å
Structure: a structure optimized by DFT (GGA-PBE)

Structural model:
a = 8.8126 Å, b = 8.8126 Å, c = 8.8126 Å
α = 139.93°, β = 139.93°, γ = 57.97°
Positions (direct):
Na 0.0000 0.5000 0.5000
Na 0.1970 0.1970 0.0000
Na 0.5000 0.0000 0.5000
Na 0.8030 0.8030 0.0000
Cd 0.4021 0.4021 0.0000
Cd 0.5979 0.5979 0.0000
Bi 0.0000 0.0000 0.0000

Peak list (10 most intense, 2θ from 10° to 80°, by angle)
2theta, d (Å), I/Imax
11.48, 7.709, 84
20.80, 4.270, 100
22.72, 3.914, 43
23.82, 3.735, 28
29.58, 3.019, 64
31.83, 2.812, 32
32.61, 2.746, 81
37.62, 2.391, 24
42.33, 2.135, 24
44.60, 2.032, 68


Simulated powder XRD pattern
Compound: Na3Cd5Bi2
Radiation: a wavelength of 1.5418 Å
Structure: a structure optimized by DFT (GGA-PBE)

Structural model:
a = 10.0067 Å, b = 10.0067 Å, c = 10.0067 Å
α = 97.97°, β = 94.46°, γ = 141.59°
Positions (direct):
Na 0.2440 0.1291 0.3731
Na 0.2500 0.2500 0.0000
Na 0.2560 0.6291 0.8852
Na 0.7440 0.3709 0.1148
Na 0.7500 0.7500 0.0000
Na 0.7560 0.8709 0.6269
Cd 0.1430 0.3858 0.5288
Cd 0.2500 0.5165 0.2665
Cd 0.2500 0.7500 0.5000
Cd 0.2500 0.9835 0.7335
Cd 0.3570 0.8858 0.2427
Cd 0.6430 0.1142 0.7573
Cd 0.7500 0.0165 0.2665
Cd 0.7500 0.2500 0.5000
Cd 0.7500 0.4835 0.7335
Cd 0.8570 0.6142 0.4712
Bi 0.1452 0.8606 0.0058
Bi 0.3548 0.3606 0.7154
Bi 0.6452 0.6394 0.2846
Bi 0.8548 0.1394 0.9942

Peak list (10 most intense, 2θ from 10° to 80°, by angle)
2theta, d (Å), I/Imax
20.19, 4.399, 100
27.49, 3.245, 22
30.20, 2.960, 59
38.09, 2.363, 75
38.36, 2.346, 45
38.74, 2.325, 48
44.05, 2.056, 24
55.65, 1.652, 27
56.75, 1.622, 16
64.90, 1.437, 17